Theoretical PXRD pattern
Compound: CrCu3Pd7
Radiation: Cu Kα (weighted mean of Kα1 and Kα2)
Structure: a PBE-relaxed structure
Kinematic intensities with the Lorentz-polarization factor, no thermal factor.

Cell: 9.030 9.175 4.686 Å, 90.00 118.27 90.00°
Space group C2/m (No. 12)
Inequivalent atoms, fractional coordinates:
Cr 0.000 0.000 0.000
Cu 0.000 0.273 0.500
Cu 0.000 0.500 0.000
Pd 0.000 0.000 0.500
Pd 0.171 0.271 0.173
Pd 0.183 0.500 0.635

Principal peaks in the range 2θ from 5° to 70°, sorted by position:
29.10 deg, I 16, (0 2 1)
29.73 deg, I 14, (2 2 0)
31.80 deg, I 24, (3 1 -1)
35.24 deg, I 30, (3 1 0)
38.47 deg, I 100, (2 0 -2)
39.28 deg, I 87, (0 4 0)
39.94 deg, I 13, (4 0 -1)
41.40 deg, I 22, (1 3 1)
42.53 deg, I 32, (3 3 -1)
43.11 deg, I 91, (2 2 1)
44.74 deg, I 74, (4 2 -1)
56.15 deg, I 54, (2 4 -2)

---

Theoretical PXRD pattern
Compound: Cr2CuPd6
Radiation: Cu Kα (weighted mean of Kα1 and Kα2)
Structure: a PBE-relaxed structure
Kinematic intensities with the Lorentz-polarization factor, no thermal factor.

Cell: 3.985 11.127 11.953 Å, 90.00 90.00 90.00°
Space group Fmmm (No. 69)
Inequivalent atoms, fractional coordinates:
Cr 0.000 0.000 0.159
Cu 0.000 0.000 0.500
Pd 0.000 0.156 0.332
Pd 0.000 0.160 0.000

Principal peaks in the range 2θ from 5° to 70°, sorted by position:
15.93 deg, I 2, (0 2 0)
32.18 deg, I 5, (0 4 0)
32.79 deg, I 9, (1 1 3)
40.19 deg, I 100, (1 3 3)
45.53 deg, I 35, (2 0 0)
48.54 deg, I 1, (0 2 6)
49.13 deg, I 13, (0 6 0)
56.84 deg, I 4, (0 4 6)
66.36 deg, I 11, (2 0 6)
67.68 deg, I 4, (1 7 3)
69.21 deg, I 17, (2 6 0)

---

Theoretical PXRD pattern
Compound: Cr2Cu2PdS6
Radiation: Cu Kα (weighted mean of Kα1 and Kα2)
Structure: a PBE-relaxed structure
Kinematic intensities with the Lorentz-polarization factor, no thermal factor.

Cell: 6.117 10.419 6.436 Å, 90.00 114.63 90.00°
Space group C2/m (No. 12)
Inequivalent atoms, fractional coordinates:
Cr 0.000 0.170 0.000
Cu 0.000 0.334 0.500
Pd 0.000 0.500 0.000
S 0.218 0.500 0.769
S 0.224 0.176 0.766

Principal peaks in the range 2θ from 5° to 70°, sorted by position:
15.14 deg, I 17, (0 0 1)
18.08 deg, I 34, (1 1 0)
22.86 deg, I 16, (0 2 1)
29.24 deg, I 9, (1 1 -2)
30.82 deg, I 15, (1 3 -1)
33.99 deg, I 64, (2 0 -2)
37.08 deg, I 100, (1 3 1)
50.07 deg, I 36, (1 3 -3)
52.26 deg, I 30, (3 3 -1)
52.71 deg, I 16, (0 6 0)
54.16 deg, I 15, (2 0 2)
64.22 deg, I 15, (2 6 -2)

---

Theoretical PXRD pattern
Compound: Cr3CuPt
Radiation: Cu Kα (weighted mean of Kα1 and Kα2)
Structure: a PBE-relaxed structure
Kinematic intensities with the Lorentz-polarization factor, no thermal factor.

Cell: 4.484 4.484 4.484 Å, 90.00 90.00 90.00°
Space group Pm-3m (No. 221)
Inequivalent atoms, fractional coordinates:
Cr 0.000 0.000 0.500
Cu 0.000 0.000 0.000
Pt 0.500 0.500 0.500

Principal peaks in the range 2θ from 5° to 70°, sorted by position:
19.80 deg, I 11, (1 0 0)
28.15 deg, I 100, (1 1 0)
34.65 deg, I 74, (1 1 1)
40.23 deg, I 81, (2 0 0)
45.22 deg, I 7, (2 1 0)
49.82 deg, I 43, (2 1 1)
58.20 deg, I 52, (2 2 0)
62.11 deg, I 4, (3 0 0)
65.88 deg, I 19, (3 1 0)
69.54 deg, I 27, (3 1 1)

---

Theoretical PXRD pattern
Compound: CrCu2Pt
Radiation: Cu Kα (weighted mean of Kα1 and Kα2)
Structure: a PBE-relaxed structure
Kinematic intensities with the Lorentz-polarization factor, no thermal factor.

Cell: 2.707 4.455 4.619 Å, 90.00 93.15 90.00°
Space group P2/m (No. 10)
Inequivalent atoms, fractional coordinates:
Cr 0.000 0.000 0.000
Cu 0.262 0.500 0.754
Pt 0.500 0.000 0.500

Principal peaks in the range 2θ from 5° to 70°, sorted by position:
19.24 deg, I 45, (0 0 1)
19.93 deg, I 28, (0 1 0)
27.84 deg, I 43, (0 1 1)
33.15 deg, I 15, (1 0 0)
39.00 deg, I 20, (1 1 0)
39.56 deg, I 63, (1 0 1)
40.50 deg, I 59, (0 2 0)
42.95 deg, I 100, (1 1 -1)
44.22 deg, I 92, (0 1 2)
45.20 deg, I 11, (0 2 1)
57.90 deg, I 40, (1 2 1)
68.54 deg, I 12, (1 0 -3)

---

Theoretical PXRD pattern
Compound: CrCu2Re
Radiation: Cu Kα (weighted mean of Kα1 and Kα2)
Structure: a PBE-relaxed structure
Kinematic intensities with the Lorentz-polarization factor, no thermal factor.

Cell: 2.6360 2.6360 26.0215 Å, 90.00 90.00 120.00°
Space group R3m (No. 160, hexagonal axes)
Inequivalent atoms, fractional coordinates:
Cr 0.0000 0.0000 0.0000
Cu 0.0000 0.0000 0.4951
Cu 0.0000 0.0000 0.7482
Re 0.0000 0.0000 0.2491

Principal peaks in the range 2θ from 5° to 70°, sorted by position:
10.20 deg, I 80, (0 0 3)
20.48 deg, I 25, (0 0 6)
30.93 deg, I 10, (0 0 9)
39.63 deg, I 12, (1 0 1)
40.10 deg, I 14, (0 1 2)
41.65 deg, I 34, (0 0 12)
41.94 deg, I 100, (1 0 4)
43.28 deg, I 10, (0 1 5)
46.69 deg, I 6, (1 0 7)
48.73 deg, I 64, (0 1 8)
53.39 deg, I 7, (1 0 10)
61.62 deg, I 5, (1 0 13)

---

Theoretical PXRD pattern
Compound: CrCu2Re
Radiation: Cu Kα (weighted mean of Kα1 and Kα2)
Structure: a PBE-relaxed structure
Kinematic intensities with the Lorentz-polarization factor, no thermal factor.

Cell: 2.535 4.124 4.947 Å, 90.00 97.08 90.00°
Space group Pm (No. 6)
Inequivalent atoms, fractional coordinates:
Cr 0.000 0.000 0.000
Cu 0.591 0.500 0.252
Cu 0.639 0.000 0.496
Re 0.210 0.500 0.750

Principal peaks in the range 2θ from 5° to 70°, sorted by position:
18.07 deg, I 40, (0 0 1)
21.55 deg, I 34, (0 1 0)
28.26 deg, I 29, (0 1 1)
38.13 deg, I 20, (1 0 -1)
42.07 deg, I 29, (1 1 0)
42.34 deg, I 38, (1 0 1)
42.88 deg, I 100, (0 1 2)
43.91 deg, I 47, (0 2 0)
44.22 deg, I 64, (1 1 -1)
47.99 deg, I 20, (1 1 1)
59.53 deg, I 11, (1 2 -1)
62.64 deg, I 23, (1 2 1)

---

Theoretical PXRD pattern
Compound: CrCu2Rh3
Radiation: Cu Kα (weighted mean of Kα1 and Kα2)
Structure: a PBE-relaxed structure
Kinematic intensities with the Lorentz-polarization factor, no thermal factor.

Cell: 3.866 11.621 7.086 Å, 90.00 90.00 90.00°
Space group Cmmm (No. 65)
Inequivalent atoms, fractional coordinates:
Cr 0.000 0.163 0.000
Cu 0.000 0.170 0.500
Cu 0.000 0.500 0.000
Cu 0.000 0.500 0.500
Rh 0.000 0.000 0.247
Rh 0.000 0.332 0.238

Principal peaks in the range 2θ from 5° to 70°, sorted by position:
25.14 deg, I 6, (0 0 2)
32.72 deg, I 6, (1 3 0)
35.16 deg, I 1, (1 3 1)
38.10 deg, I 1, (0 0 3)
41.70 deg, I 100, (1 3 2)
46.96 deg, I 35, (2 0 0)
51.59 deg, I 13, (0 0 4)
53.99 deg, I 3, (0 6 2)
62.00 deg, I 1, (2 0 3)
62.45 deg, I 2, (1 3 4)
68.59 deg, I 11, (2 6 0)

---

Theoretical PXRD pattern
Compound: CrCu2Rh5
Radiation: Cu Kα (weighted mean of Kα1 and Kα2)
Structure: a PBE-relaxed structure
Kinematic intensities with the Lorentz-polarization factor, no thermal factor.

Cell: 3.835 3.835 14.679 Å, 90.00 90.00 90.00°
Space group I4/mmm (No. 139)
Inequivalent atoms, fractional coordinates:
Cr 0.000 0.000 0.000
Cu 0.000 0.000 0.251
Rh 0.000 0.000 0.500
Rh 0.000 0.500 0.124

Principal peaks in the range 2θ from 5° to 70°, sorted by position:
12.06 deg, I 1, (0 0 2)
23.98 deg, I 2, (1 0 1)
24.25 deg, I 3, (0 0 4)
29.59 deg, I 1, (1 0 3)
33.03 deg, I 3, (1 1 0)
38.62 deg, I 1, (1 0 5)
41.40 deg, I 100, (1 1 4)
47.41 deg, I 33, (2 0 0)
49.69 deg, I 14, (0 0 8)
53.95 deg, I 1, (2 0 4)
60.96 deg, I 1, (1 1 8)
69.29 deg, I 10, (2 2 0)

---

Theoretical PXRD pattern
Compound: CrCu2Rh
Radiation: Cu Kα (weighted mean of Kα1 and Kα2)
Structure: a PBE-relaxed structure
Kinematic intensities with the Lorentz-polarization factor, no thermal factor.

Cell: 5.060 8.880 2.692 Å, 90.00 117.73 90.00°
Space group C2/m (No. 12)
Inequivalent atoms, fractional coordinates:
Cr 0.000 0.000 0.000
Cu 0.250 0.250 0.500
Rh 0.000 0.500 0.000

Principal peaks in the range 2θ from 5° to 70°, sorted by position:
20.00 deg, I 2, (0 2 0)
22.23 deg, I 17, (1 1 0)
34.91 deg, I 6, (1 1 -1)
36.38 deg, I 5, (1 3 0)
40.45 deg, I 60, (2 0 -1)
40.64 deg, I 59, (0 4 0)
43.08 deg, I 100, (0 2 1)
45.36 deg, I 86, (2 2 0)
45.61 deg, I 3, (1 3 -1)
52.21 deg, I 2, (1 1 1)
58.68 deg, I 38, (2 4 -1)
69.73 deg, I 11, (2 0 1)

---

Theoretical PXRD pattern
Compound: CrCu2Ru
Radiation: Cu Kα (weighted mean of Kα1 and Kα2)
Structure: a PBE-relaxed structure
Kinematic intensities with the Lorentz-polarization factor, no thermal factor.

Cell: 2.814 4.264 8.513 Å, 90.00 90.00 90.00°
Space group Cmm2 (No. 35)
Inequivalent atoms, fractional coordinates:
Cr 0.000 0.000 0.000
Cu 0.000 0.000 0.507
Cu 0.000 0.500 0.750
Ru 0.000 0.500 0.241

Principal peaks in the range 2θ from 5° to 70°, sorted by position:
10.39 deg, I 11, (0 0 1)
20.87 deg, I 6, (0 0 2)
31.53 deg, I 2, (0 0 3)
38.33 deg, I 2, (1 1 0)
39.82 deg, I 3, (1 1 1)
42.44 deg, I 56, (0 2 0)
44.04 deg, I 100, (1 1 2)
47.71 deg, I 1, (0 2 2)
58.53 deg, I 2, (1 1 4)
61.57 deg, I 17, (0 2 4)
66.46 deg, I 7, (2 0 0)
68.01 deg, I 1, (1 1 5)

---

Theoretical PXRD pattern
Compound: Cr2Cu2S5
Radiation: Cu Kα (weighted mean of Kα1 and Kα2)
Structure: a PBE-relaxed structure
Kinematic intensities with the Lorentz-polarization factor, no thermal factor.

Cell: 3.6489 3.6489 40.6725 Å, 90.00 90.00 120.00°
Space group R3m (No. 160, hexagonal axes)
Inequivalent atoms, fractional coordinates:
Cr 0.0000 0.0000 0.0000
Cr 0.0000 0.0000 0.1668
Cu 0.0000 0.0000 0.5856
Cu 0.0000 0.0000 0.7478
S 0.0000 0.0000 0.0580
S 0.0000 0.0000 0.5301
S 0.0000 0.0000 0.6667
S 0.0000 0.0000 0.8032
S 0.0000 0.0000 0.9419

Principal peaks in the range 2θ from 5° to 70°, sorted by position:
26.29 deg, I 58, (0 0 12)
28.33 deg, I 56, (1 0 1)
28.59 deg, I 56, (0 1 2)
29.60 deg, I 22, (1 0 4)
30.34 deg, I 90, (0 1 5)
33.04 deg, I 20, (0 0 15)
42.26 deg, I 43, (0 1 14)
47.68 deg, I 38, (0 1 17)
49.99 deg, I 100, (1 1 0)
51.57 deg, I 42, (1 0 19)
57.36 deg, I 35, (1 1 12)
61.23 deg, I 17, (1 1 15)

---

Theoretical PXRD pattern
Compound: Cr3Cu2SbS8
Radiation: Cu Kα (weighted mean of Kα1 and Kα2)
Structure: a PBE-relaxed structure
Kinematic intensities with the Lorentz-polarization factor, no thermal factor.

Cell: 7.0328 7.0328 17.7986 Å, 90.00 90.00 120.00°
Space group R-3m (No. 166, hexagonal axes)
Inequivalent atoms, fractional coordinates:
Cr 0.0000 0.5000 0.0000
Cu 0.0000 0.0000 0.1306
Sb 0.0000 0.0000 0.5000
S 0.0000 0.0000 0.2594
S 0.0088 0.5044 0.2590

Principal peaks in the range 2θ from 5° to 70°, sorted by position:
15.38 deg, I 25, (1 0 1)
25.33 deg, I 39, (1 1 0)
29.05 deg, I 40, (0 1 5)
29.53 deg, I 100, (1 1 3)
29.76 deg, I 9, (0 2 1)
35.73 deg, I 60, (0 2 4)
46.53 deg, I 11, (0 2 7)
47.01 deg, I 24, (1 2 5)
47.32 deg, I 26, (0 3 3)
50.82 deg, I 53, (2 0 8)
52.01 deg, I 54, (2 2 0)
60.68 deg, I 9, (3 1 5)

---

Theoretical PXRD pattern
Compound: Cr2CuSe2S2
Radiation: Cu Kα (weighted mean of Kα1 and Kα2)
Structure: a PBE-relaxed structure
Kinematic intensities with the Lorentz-polarization factor, no thermal factor.

Cell: 10.124 10.124 10.124 Å, 90.00 90.00 90.00°
Space group F-43m (No. 216)
Inequivalent atoms, fractional coordinates:
Cr 0.118 0.118 0.118
Cu 0.000 0.000 0.500
Cu 0.250 0.250 0.750
Se 0.134 0.134 0.366
S 0.118 0.118 0.882

Principal peaks in the range 2θ from 5° to 70°, sorted by position:
15.16 deg, I 21, (1 1 1)
24.87 deg, I 27, (2 2 0)
29.26 deg, I 77, (3 1 1)
30.59 deg, I 26, (2 2 2)
35.47 deg, I 66, (4 0 0)
38.77 deg, I 12, (3 3 1)
43.81 deg, I 13, (4 2 2)
46.62 deg, I 42, (5 1 1)
51.03 deg, I 100, (4 4 0)
59.91 deg, I 8, (5 3 3)
60.68 deg, I 10, (6 2 2)
63.68 deg, I 13, (4 4 4)